[1]
Diffraction record for LiMnF4. The X-ray diffraction stick pattern is simulated, not measured: it uses the PBE+U geometry in the Materials Project and Cu Kα, 1.54184 Å.

Peak list (10 most intense, 2θ = 5–70°, low angle first)
2θ/deg, I/Imax
14.51, 35
16.68, 100
23.15, 30
23.69, 76
26.69, 22
28.10, 34
40.46, 32
44.52, 23
46.18, 28
53.28, 16

Crystal structure
```
LiMnF4
1.0
6.6919 -1.9658 0.0000
6.6919 1.9658 0.0000
-2.0173 0.0000 6.1057
Li Mn F
2 2 8
Direct
0.1990 0.1990 0.3089
0.8010 0.8010 0.6911
0.1090 0.1090 0.6987
0.8910 0.8910 0.3013
0.0601 0.0601 0.3838
0.1391 0.1391 0.9929
0.2536 0.2536 0.6588
0.3825 0.3825 0.3051
0.6175 0.6175 0.6949
0.7464 0.7464 0.3412
0.8609 0.8609 0.0071
0.9399 0.9399 0.6162
```

[2]
Diffraction record for Sr4LiMn2Ga2O10. The X-ray diffraction stick pattern is simulated, not measured: it uses the PBE+U geometry in the Materials Project and Cu Kα, 1.54184 Å.

Peak list (10 most intense, 2θ = 5–70°, low angle first)
2θ/deg, I/Imax
22.47, 12
31.09, 100
31.20, 51
31.61, 50
39.84, 13
39.95, 19
44.26, 15
44.76, 23
45.16, 16
55.87, 13

Crystal structure
```
Sr4LiMn2Ga2O10
1.0
4.0162 -8.1856 0.0000
4.0162 8.1856 0.0000
-3.9553 0.0000 4.0496
Sr Li Mn Ga O
4 1 2 2 10
Direct
0.0861 0.3785 0.4644
0.3785 0.0861 0.4644
0.6215 0.9139 0.5356
0.9139 0.6215 0.5356
0.0000 0.0000 0.5000
0.0000 0.5000 0.0000
0.5000 0.0000 0.0000
0.3559 0.3559 0.0598
0.6441 0.6441 0.9402
0.1141 0.3093 0.9784
0.2517 0.7483 0.5000
0.2566 0.7434 0.0000
0.3093 0.1141 0.9784
0.3174 0.3174 0.6587
0.6826 0.6826 0.3413
0.6907 0.8859 0.0216
0.7434 0.2566 0.0000
0.7483 0.2517 0.5000
0.8859 0.6907 0.0216
```

[3]
Diffraction record for Sr2MgCrO4. The X-ray diffraction stick pattern is simulated, not measured: it uses the PBE+U geometry in the Materials Project and Cu Kα, 1.54184 Å.

Peak list (10 most intense, 2θ = 5–70°, low angle first)
2θ/deg, I/Imax
18.80, 31
26.79, 100
28.36, 60
32.30, 77
32.93, 22
33.70, 22
43.51, 40
46.32, 42
54.32, 29
55.21, 32

Crystal structure
```
Sr2MgCrO4
1.0
-1.9601 1.9601 9.4409
1.9601 -1.9601 9.4409
1.9601 1.9601 -9.4409
Sr Mg Cr O
2 1 1 4
Direct
0.1862 0.1862 0.0000
0.8138 0.8138 0.0000
0.0000 0.0000 0.0000
0.5000 0.5000 0.0000
0.0000 0.5000 0.5000
0.3092 0.3092 0.0000
0.5000 0.0000 0.5000
0.6908 0.6908 0.0000
```

[4]
Diffraction record for Dy2CuW4O16. The X-ray diffraction stick pattern is simulated, not measured: it uses the PBE+U geometry in the Materials Project and Cu Kα, 1.54184 Å.

Peak list (10 most intense, 2θ = 5–70°, low angle first)
2θ/deg, I/Imax
23.85, 80
24.88, 22
27.86, 97
28.63, 100
30.08, 36
34.97, 44
36.35, 27
50.87, 24
51.62, 29
51.81, 26

Crystal structure
```
Dy2CuW4O16
1.0
9.6864 -2.8444 0.0000
9.6864 2.8444 0.0000
-3.9832 0.0000 10.6165
Dy Cu W O
4 2 8 32
Direct
0.0166 0.6848 0.5449
0.3152 0.9834 0.9551
0.6848 0.0166 0.0449
0.9834 0.3152 0.4551
0.1623 0.8377 0.2500
0.8377 0.1623 0.7500
0.1909 0.4353 0.2151
0.2560 0.6325 0.9095
0.3675 0.7440 0.5905
0.4353 0.1909 0.7151
0.5647 0.8091 0.2849
0.6325 0.2560 0.4095
0.7440 0.3675 0.0905
0.8091 0.5647 0.7849
0.0212 0.2179 0.0738
0.0374 0.7119 0.1785
0.0875 0.4172 0.7646
0.1062 0.8657 0.6196
0.1343 0.8938 0.8804
0.2179 0.0212 0.5738
0.2463 0.2884 0.5549
0.2571 0.5267 0.7291
0.2785 0.4586 0.3985
0.2884 0.2463 0.0549
0.2881 0.9626 0.3215
0.3750 0.6049 0.0893
0.3951 0.6250 0.4107
0.4172 0.0875 0.2646
0.4586 0.2785 0.8985
0.4733 0.7429 0.7709
0.5267 0.2571 0.2291
0.5414 0.7215 0.1015
0.5828 0.9125 0.7354
0.6049 0.3750 0.5893
0.6250 0.3951 0.9107
0.7119 0.0374 0.6785
0.7116 0.7537 0.9451
0.7215 0.5414 0.6015
0.7429 0.4733 0.2709
0.7537 0.7116 0.4451
0.7821 0.9788 0.4262
0.8657 0.1062 0.1196
0.8938 0.1343 0.3804
0.9125 0.5828 0.2354
0.9626 0.2881 0.8215
0.9788 0.7821 0.9262
```

[5]
Diffraction record for K4MoC4N4O2. The X-ray diffraction stick pattern is simulated, not measured: it uses the PBE+U geometry in the Materials Project and Cu Kα, 1.54184 Å.

Peak list (10 most intense, 2θ = 5–70°, low angle first)
2θ/deg, I/Imax
13.22, 100
14.34, 68
15.77, 27
20.97, 65
23.87, 34
28.23, 45
28.91, 45
30.60, 55
35.04, 36
35.80, 42

Crystal structure
```
K4MoC4N4O2
1.0
6.5834 0.0000 0.0000
0.0000 12.3554 0.0000
-4.2199 0.0000 7.9738
K Mo C N O
8 2 8 8 4
Direct
0.1420 0.2228 0.4964
0.1420 0.2772 0.9964
0.1647 0.5328 0.7395
0.1647 0.9672 0.2395
0.8353 0.0328 0.7605
0.8353 0.4672 0.2605
0.8580 0.7228 0.0036
0.8580 0.7772 0.5036
0.5000 0.0000 0.0000
0.5000 0.5000 0.5000
0.2835 0.6494 0.4283
0.2835 0.8506 0.9283
0.3594 0.0126 0.7241
0.3594 0.4874 0.2241
0.6406 0.5126 0.7759
0.6406 0.9874 0.2759
0.7165 0.1494 0.0717
0.7165 0.3506 0.5717
0.1532 0.7216 0.3668
0.1532 0.7784 0.8668
0.2947 0.0104 0.5781
0.2947 0.4896 0.0781
0.7053 0.5104 0.9219
0.7053 0.9896 0.4219
0.8468 0.2216 0.1332
0.8468 0.2784 0.6332
0.2531 0.0758 0.9982
0.2531 0.4242 0.4982
0.7469 0.5758 0.5018
0.7469 0.9242 0.0018
```

[6]
Diffraction record for Li9Mn2Co5O16. The X-ray diffraction stick pattern is simulated, not measured: it uses the PBE+U geometry in the Materials Project and Cu Kα, 1.54184 Å.

Peak list (10 most intense, 2θ = 5–70°, low angle first)
2θ/deg, I/Imax
18.33, 100
35.05, 16
36.55, 13
36.60, 13
42.09, 30
44.35, 26
44.43, 26
47.50, 9
62.63, 15
63.03, 15

Crystal structure
```
Li9Mn2Co5O16
1.0
5.9092 0.0000 0.0000
1.4588 6.3208 0.0000
1.0917 -0.1108 7.6606
Li Mn Co O
9 2 5 16
Direct
0.0000 0.0000 0.0000
0.0024 0.5070 0.5065
0.2486 0.7614 0.2596
0.2554 0.2457 0.7421
0.4937 0.5116 0.5085
0.5094 0.9980 0.9968
0.6218 0.8812 0.6281
0.7355 0.7633 0.2678
0.7519 0.2422 0.7462
0.1267 0.3778 0.1291
0.3785 0.6295 0.8756
0.1207 0.8775 0.6232
0.3753 0.1293 0.3834
0.6272 0.3779 0.1291
0.8672 0.1276 0.3870
0.8760 0.6300 0.8735
0.0431 0.1897 0.5645
0.0834 0.6691 0.0482
0.1879 0.0889 0.2006
0.2039 0.5707 0.6988
0.3059 0.9189 0.8170
0.3076 0.4236 0.3080
0.4218 0.3299 0.9609
0.4225 0.8426 0.4421
0.5507 0.6702 0.0648
0.5575 0.1913 0.5474
0.6674 0.5681 0.7207
0.7002 0.0873 0.1898
0.8246 0.9138 0.8160
0.8333 0.4355 0.2907
0.9451 0.3373 0.9477
0.9470 0.8218 0.4427
```

[7]
Diffraction record for Li4Mn3CoCu2P6O24. The X-ray diffraction stick pattern is simulated, not measured: it uses the PBE+U geometry in the Materials Project and Cu Kα, 1.54184 Å.

Peak list (10 most intense, 2θ = 5–70°, low angle first)
2θ/deg, I/Imax
19.89, 100
20.06, 35
22.62, 28
23.02, 27
24.90, 33
31.24, 40
31.81, 33
32.57, 28
34.67, 44
35.02, 61

Crystal structure
```
Li4Mn3CoCu2P6O24
1.0
8.2667 0.0000 0.0000
-3.7412 7.6121 0.0000
-0.4446 -4.8365 7.5083
Li Mn Co Cu P O
4 3 1 2 6 24
Direct
0.0000 0.0000 0.0000
0.0888 0.5892 0.4760
0.2032 0.1532 0.5497
0.6236 0.6062 0.1897
0.2073 0.4114 0.9989
0.5002 0.8133 0.6973
0.7104 0.3997 0.4994
0.0089 0.8020 0.1847
0.3596 0.1082 0.8530
0.8390 0.0870 0.3266
0.1068 0.6300 0.8010
0.2905 0.3184 0.3093
0.4289 0.9046 0.3908
0.6011 0.5930 0.8819
0.7953 0.2985 0.0922
0.9074 0.8895 0.5881
0.0535 0.7646 0.9483
0.0997 0.1270 0.2841
0.1094 0.0676 0.7329
0.1690 0.5071 0.8434
0.2586 0.7862 0.7580
0.2609 0.9329 0.3583
0.2773 0.2781 0.1184
0.2948 0.5153 0.4463
0.4064 0.7005 0.2426
0.4392 0.9271 0.5758
0.4511 0.4291 0.9181
0.4665 0.3169 0.3687
0.5236 0.7059 0.8373
0.5961 0.1304 0.9485
0.6204 0.0863 0.4116
0.6567 0.4701 0.7300
0.7494 0.8949 0.6677
0.7624 0.7670 0.0656
0.8093 0.2823 0.2624
0.8332 0.5166 0.1516
0.8893 0.6770 0.5150
0.9028 0.9299 0.4329
0.9462 0.2564 0.0167
0.9494 0.4556 0.6134
```